[1]
Structure and computed PXRD pattern of Ce3In2 (a PBE-relaxed structure; CuKα).
Kinematic intensities with the Lorentz-polarization factor, no thermal factor.

Structural model:
Cell: 7.470 9.293 8.267 Å, 90.00 90.00 90.00°
Space group Cmc2_1 (No. 36)
Unique sites:
Ce (0.000, 0.227, 0.000)
Ce (0.241, 0.112, 0.789)
In (0.000, 0.131, 0.434)
In (0.000, 0.385, 0.628)

Top 10 peaks for 2θ = 10–90°, by angle:
21.94 deg, d 4.051, rel. 21
26.44 deg, d 3.371, rel. 30
32.30 deg, d 2.771, rel. 76
32.61 deg, d 2.746, rel. 100
33.13 deg, d 2.704, rel. 42
37.96 deg, d 2.370, rel. 47
48.76 deg, d 1.868, rel. 21
63.42 deg, d 1.467, rel. 25
65.40 deg, d 1.427, rel. 22
89.57 deg, d 1.094, rel. 21

***

[2]
Structure and computed PXRD pattern of Ce3In5 (a PBE-relaxed structure; CuKα).
Kinematic intensities with the Lorentz-polarization factor, no thermal factor.

Structural model:
Cell: 9.433 9.590 4.734 Å, 90.00 90.00 90.00°
Space group Cmmm (No. 65)
Unique sites:
Ce (0.000, 0.000, 0.000)
Ce (0.244, 0.500, 0.500)
In (0.000, 0.247, 0.500)
In (0.000, 0.500, 0.000)
In (0.250, 0.250, 0.000)

Top 10 peaks for 2θ = 10–90°, by angle:
32.66 deg, d 2.741, rel. 100
37.51 deg, d 2.398, rel. 17
38.01 deg, d 2.367, rel. 17
38.16 deg, d 2.358, rel. 16
54.47 deg, d 1.685, rel. 11
54.59 deg, d 1.681, rel. 11
64.64 deg, d 1.442, rel. 13
65.32 deg, d 1.429, rel. 13
65.52 deg, d 1.425, rel. 13
68.45 deg, d 1.371, rel. 11

***

What is the formula in the second record?
Ce3In5